The following is a computed XRD peak list of TaZnCuIr. It was derived from a DFT-relaxed cell (GGA-PBE, OQMD), using Cu Kα, 1.54184 Å.
Neutral-atom scattering factors, no anomalous dispersion.

Most intense lines, 10° ≤ 2θ ≤ 90°, low angle first:
2theta, I_rel
24.96, 24.5
41.33, 100.0
48.89, 12.7
59.87, 16.6
65.89, 5.5
75.35, 33.5
80.82, 4.3
89.78, 11.1

Crystal structure
```
TaZnCuIr
1.0
0.0000 3.0896 3.0896
3.0896 0.0000 3.0896
3.0896 3.0896 0.0000
Ta Zn Cu Ir
1 1 1 1
Direct
0.0000 0.0000 0.0000
0.5000 0.5000 0.5000
0.7500 0.7500 0.7500
0.2500 0.2500 0.2500
```

***

The following is a computed XRD peak list of La2GdMg3Ag3. It was derived from a DFT-relaxed cell (GGA-PBE, OQMD), using Cu Kα, 1.54184 Å.
Neutral-atom scattering factors, no anomalous dispersion.

Most intense lines, 10° ≤ 2θ ≤ 90°, low angle first:
2theta, I_rel
22.74, 32.5
26.32, 22.0
30.84, 76.3
33.63, 100.0
35.06, 21.6
39.93, 27.3
40.98, 24.8
41.82, 22.8
53.17, 22.6
59.20, 16.5

Crystal structure
```
La2GdMg3Ag3
1.0
4.3203 0.0000 0.0000
0.0000 13.5300 0.0000
0.0000 0.0000 7.8294
La Gd Mg Ag
4 2 6 6
Direct
0.0000 0.0000 0.0000
0.0000 0.2099 0.3749
0.0000 0.5000 0.4982
0.0000 0.7901 0.3749
0.0000 0.2944 0.8761
0.0000 0.7056 0.8761
0.5000 0.0000 0.3452
0.5000 0.1218 0.7059
0.5000 0.3804 0.1969
0.5000 0.5000 0.8450
0.5000 0.6196 0.1969
0.5000 0.8782 0.7059
0.0000 0.0000 0.5831
0.0000 0.5000 0.0780
0.5000 0.1713 0.0764
0.5000 0.3328 0.5933
0.5000 0.6672 0.5933
0.5000 0.8287 0.0764
```

***

The following is a computed XRD peak list of NdEr2Se3. It was derived from a DFT-relaxed cell (GGA-PBE, OQMD), using Cu Kα, 1.54184 Å.
Neutral-atom scattering factors, no anomalous dispersion.

Most intense lines, 10° ≤ 2θ ≤ 90°, low angle first:
2theta, I_rel
26.78, 15.6
30.89, 100.0
43.97, 36.9
44.54, 36.9
54.21, 6.3
55.19, 19.3
64.38, 11.8
72.69, 15.8
73.53, 16.4
81.65, 12.2

Crystal structure
```
NdEr2Se3
1.0
4.0683 0.0000 0.0000
-2.0342 3.5233 0.0000
0.0000 0.0000 10.1520
Nd Er Se
1 2 3
Direct
0.0000 0.0000 0.0000
0.3333 0.6667 0.6628
0.6667 0.3333 0.3372
0.0000 0.0000 0.5000
0.3333 0.6667 0.1818
0.6667 0.3333 0.8182
```

***

The following is a computed XRD peak list of Bi2Pt7. It was derived from a DFT-relaxed cell (GGA-PBE, OQMD), using Cu Kα, 1.54184 Å.
Neutral-atom scattering factors, no anomalous dispersion.

Most intense lines, 10° ≤ 2θ ≤ 90°, low angle first:
2theta, I_rel
30.02, 26.8
33.15, 28.5
38.61, 29.9
38.87, 100.0
40.09, 25.6
42.07, 37.5
43.59, 17.4
63.05, 24.8
69.56, 28.3
83.44, 19.2

Crystal structure
```
Bi2Pt7
1.0
5.4059 0.0000 0.0000
-2.7029 4.6816 0.0000
0.0000 0.0000 26.9912
Bi Pt
8 28
Direct
0.3333 0.6667 0.0342
0.3333 0.6667 0.1767
0.3333 0.6667 0.3233
0.3333 0.6667 0.4658
0.6667 0.3333 0.5342
0.6667 0.3333 0.6767
0.6667 0.3333 0.8233
0.6667 0.3333 0.9658
0.0000 0.0000 0.0000
0.0000 0.0000 0.1667
0.0000 0.0000 0.3333
0.0000 0.0000 0.5000
0.0000 0.0000 0.6667
0.0000 0.0000 0.8333
0.1666 0.3331 0.7500
0.1666 0.8334 0.7500
0.1680 0.3361 0.5822
0.1680 0.3361 0.9178
0.1680 0.8320 0.5822
0.1680 0.8320 0.9178
0.3331 0.1666 0.2500
0.3333 0.6667 0.6666
0.3333 0.6667 0.8334
0.3361 0.1680 0.0822
0.3361 0.1680 0.4178
0.6639 0.8320 0.5822
0.6639 0.8320 0.9178
0.6667 0.3333 0.1666
0.6667 0.3333 0.3334
0.6669 0.8334 0.7500
0.8320 0.1680 0.0822
0.8320 0.1680 0.4178
0.8320 0.6639 0.0822
0.8320 0.6639 0.4178
0.8334 0.1666 0.2500
0.8334 0.6669 0.2500
```

***

The following is a computed XRD peak list of NaPmNO. It was derived from a DFT-relaxed cell (GGA-PBE, OQMD), using Cu Kα, 1.54184 Å.
Neutral-atom scattering factors, no anomalous dispersion.

Most intense lines, 10° ≤ 2θ ≤ 90°, low angle first:
2theta, I_rel
20.82, 58.8
22.77, 78.8
24.68, 33.2
26.38, 40.0
31.04, 100.0
37.58, 33.7
42.38, 23.6
45.52, 42.9
57.90, 29.1
60.47, 25.4

Crystal structure
```
NaPmNO
1.0
4.7865 0.0000 0.0000
0.0000 4.2659 0.0000
0.0000 0.0000 6.7578
Na Pm N O
2 2 2 2
Direct
0.2500 0.0000 0.1810
0.7500 0.0000 0.8190
0.2500 0.5000 0.6922
0.7500 0.5000 0.3078
0.2500 0.0000 0.8330
0.7500 0.0000 0.1670
0.2500 0.5000 0.3567
0.7500 0.5000 0.6433
```

***

The following is a computed XRD peak list of TaPO5. It was derived from a DFT-relaxed cell (GGA-PBE, OQMD), using Cu Kα, 1.54184 Å.
Neutral-atom scattering factors, no anomalous dispersion.

Most intense lines, 10° ≤ 2θ ≤ 90°, low angle first:
2theta, I_rel
18.80, 100.0
25.71, 40.6
27.24, 88.3
27.68, 48.2
38.09, 29.6
39.01, 19.1
39.44, 18.3
41.52, 22.1
44.13, 18.0
46.27, 17.4

Crystal structure
```
TaPO5
1.0
3.7397 -3.4657 0.0000
3.7397 3.4657 0.0000
-3.7106 0.0000 6.4041
Ta P O
2 2 10
Direct
0.2463 0.7537 0.5000
0.7537 0.2463 0.0000
0.5925 0.8920 0.2430
0.8920 0.5925 0.7430
0.0732 0.4188 0.2451
0.1230 0.5715 0.6549
0.3591 0.9150 0.3292
0.4188 0.0732 0.7451
0.5584 0.6030 0.0653
0.5715 0.1230 0.1549
0.6030 0.5584 0.5653
0.8803 0.9294 0.4231
0.9150 0.3591 0.8292
0.9294 0.8803 0.9231
```

***

The following is a computed XRD peak list of Pr2GdMg3Pd2Au. It was derived from a DFT-relaxed cell (GGA-PBE, OQMD), using Cu Kα, 1.54184 Å.
Neutral-atom scattering factors, no anomalous dispersion.

Most intense lines, 10° ≤ 2θ ≤ 90°, low angle first:
2theta, I_rel
23.32, 33.8
25.35, 17.3
26.99, 30.7
31.87, 44.7
34.71, 100.0
40.97, 28.2
42.24, 30.7
43.65, 19.8
54.76, 18.1
65.56, 23.9

Crystal structure
```
Pr2GdMg3Pd2Au
1.0
4.1476 0.0000 0.0000
0.0000 6.6083 3.8150
0.0000 -6.6083 3.8150
Pr Gd Mg Pd Au
2 1 3 2 1
Direct
0.0000 0.2082 0.7918
0.0000 0.7918 0.2082
0.0000 0.6221 0.6221
0.5000 0.2111 0.4536
0.5000 0.4536 0.2111
0.5000 0.9611 0.9611
0.5000 0.5435 0.8679
0.5000 0.8679 0.5435
0.0000 0.2135 0.2135
```

***

The following is a computed XRD peak list of Tl2Cu7. It was derived from a DFT-relaxed cell (GGA-PBE, OQMD), using Cu Kα, 1.54184 Å.
Neutral-atom scattering factors, no anomalous dispersion.

Most intense lines, 10° ≤ 2θ ≤ 90°, low angle first:
2theta, I_rel
10.33, 78.6
17.27, 27.3
36.17, 28.7
36.69, 27.0
38.72, 100.0
40.18, 46.9
43.88, 23.9
46.07, 23.1
48.46, 42.6
64.71, 24.4

Crystal structure
```
Tl2Cu7
1.0
2.8812 0.0000 0.0000
-1.4406 2.4952 0.0000
0.0000 0.0000 25.6801
Tl Cu
2 7
Direct
0.3333 0.6667 0.1843
0.6667 0.3333 0.8157
0.0000 0.0000 0.2818
0.0000 0.0000 0.5000
0.0000 0.0000 0.7182
0.3333 0.6667 0.4276
0.3333 0.6667 0.6453
0.6667 0.3333 0.3547
0.6667 0.3333 0.5724
```

***

The following is a computed XRD peak list of NpAlW. It was derived from a DFT-relaxed cell (GGA-PBE, OQMD), using Cu Kα, 1.54184 Å.
Neutral-atom scattering factors, no anomalous dispersion.

Most intense lines, 10° ≤ 2θ ≤ 90°, low angle first:
2theta, I_rel
24.30, 93.6
28.14, 3.9
40.21, 100.0
47.54, 48.5
58.17, 17.3
63.98, 20.3
65.85, 1.5
73.08, 35.5
78.32, 15.4
86.86, 11.7

Crystal structure
```
NpAlW
1.0
0.0000 3.1716 3.1716
3.1716 0.0000 3.1716
3.1716 3.1716 0.0000
Np Al W
1 1 1
Direct
0.0000 0.0000 0.0000
0.5000 0.5000 0.5000
0.2500 0.2500 0.2500
```

***

The following is a computed XRD peak list of U3Cu2Se7. It was derived from a DFT-relaxed cell (GGA-PBE, OQMD), using Cu Kα, 1.54184 Å.
Neutral-atom scattering factors, no anomalous dispersion.

Most intense lines, 10° ≤ 2θ ≤ 90°, low angle first:
2theta, I_rel
18.02, 55.8
25.25, 95.0
26.93, 36.7
34.21, 81.4
35.51, 100.0
36.51, 56.3
40.09, 40.4
40.78, 90.0
47.78, 38.4
50.13, 47.2

Crystal structure
```
U3Cu2Se7
1.0
10.1134 0.0000 0.0000
-5.0567 8.7585 0.0000
0.0000 0.0000 5.9498
U Cu Se
6 4 14
Direct
0.1524 0.7742 0.0000
0.2258 0.3782 0.0000
0.3782 0.1524 0.5000
0.6218 0.8476 0.0000
0.7742 0.6218 0.5000
0.8476 0.2258 0.5000
0.0000 0.0000 0.0270
0.0000 0.0000 0.5270
0.3333 0.6667 0.3670
0.6667 0.3333 0.8670
0.0755 0.5119 0.2468
0.1107 0.8456 0.5139
0.1544 0.2651 0.5139
0.2651 0.1107 0.0139
0.3333 0.6667 0.7732
0.4364 0.9245 0.2468
0.4881 0.5636 0.2468
0.5119 0.4364 0.7468
0.5636 0.0755 0.7468
0.6667 0.3333 0.2732
0.7349 0.8893 0.5139
0.8456 0.7349 0.0139
0.8893 0.1544 0.0139
0.9245 0.4881 0.7468
```

***

The following is a computed XRD peak list of K2Nb3Br9. It was derived from a DFT-relaxed cell (GGA-PBE, OQMD), using Cu Kα, 1.54184 Å.
Neutral-atom scattering factors, no anomalous dispersion.

Most intense lines, 10° ≤ 2θ ≤ 90°, low angle first:
2theta, I_rel
10.34, 100.0
11.20, 64.4
28.77, 38.6
30.79, 41.5
31.37, 66.3
35.33, 68.4
38.94, 30.9
40.88, 37.9
49.01, 24.7
49.60, 34.1

Crystal structure
```
K2Nb3Br9
1.0
5.3765 -8.8527 0.0000
5.3765 8.8527 0.0000
-4.2898 0.0000 9.3079
K Nb Br
4 6 18
Direct
0.0518 0.7297 0.6688
0.2703 0.9482 0.3312
0.7297 0.0518 0.6688
0.9482 0.2703 0.3312
0.2869 0.4551 0.8659
0.3840 0.3840 0.1236
0.4551 0.2869 0.8659
0.5449 0.7131 0.1341
0.6160 0.6160 0.8764
0.7131 0.5449 0.1341
0.0029 0.6065 0.3205
0.0976 0.3057 0.9877
0.1817 0.1817 0.6721
0.2297 0.2297 0.2892
0.2933 0.7067 0.0000
0.3057 0.0976 0.9877
0.3795 0.5847 0.6846
0.3935 0.9971 0.6795
0.4153 0.6205 0.3154
0.5847 0.3795 0.6846
0.6065 0.0029 0.3205
0.6205 0.4153 0.3154
0.6943 0.9024 0.0123
0.7067 0.2933 0.0000
0.7703 0.7703 0.7108
0.8183 0.8183 0.3279
0.9024 0.6943 0.0123
0.9971 0.3935 0.6795
```

***

The following is a computed XRD peak list of PmBiN2O. It was derived from a DFT-relaxed cell (GGA-PBE, OQMD), using Cu Kα, 1.54184 Å.
Neutral-atom scattering factors, no anomalous dispersion.

Most intense lines, 10° ≤ 2θ ≤ 90°, low angle first:
2theta, I_rel
23.00, 30.3
28.02, 67.5
28.87, 100.0
29.80, 30.7
31.82, 75.8
32.42, 27.2
41.36, 32.1
45.55, 26.3
48.14, 24.7
60.13, 29.4

Crystal structure
```
PmBiN2O
1.0
9.3805 0.0000 0.0000
0.0000 7.0976 0.0000
-7.6583 0.0000 9.2278
Pm Bi N O
8 8 16 8
Direct
0.1014 0.0060 0.4218
0.1014 0.4940 0.9218
0.1217 0.5061 0.4390
0.1217 0.9939 0.9390
0.8783 0.0061 0.0610
0.8783 0.4939 0.5610
0.8986 0.5060 0.0782
0.8986 0.9940 0.5782
0.3579 0.7445 0.8482
0.3579 0.7555 0.3482
0.3606 0.2488 0.7622
0.3606 0.2512 0.2622
0.6394 0.7488 0.7378
0.6394 0.7512 0.2378
0.6421 0.2445 0.6518
0.6421 0.2555 0.1518
0.2211 0.5101 0.7052
0.2211 0.9899 0.2052
0.2404 0.0167 0.7867
0.2404 0.4833 0.2867
0.3645 0.7236 0.0321
0.3645 0.7764 0.5321
0.3657 0.2452 0.5843
0.3657 0.2548 0.0843
0.6343 0.7452 0.9157
0.6343 0.7548 0.4157
0.6355 0.2236 0.4679
0.6355 0.2764 0.9679
0.7596 0.5167 0.7133
0.7596 0.9833 0.2133
0.7789 0.0101 0.7948
0.7789 0.4899 0.2948
0.0175 0.2284 0.5178
0.0175 0.2716 0.0178
0.0223 0.7482 0.7523
0.0223 0.7518 0.2523
0.9777 0.2482 0.7477
0.9777 0.2518 0.2477
0.9825 0.7284 0.9822
0.9825 0.7716 0.4822
```